Starting from a structure optimized by DFT (PBE+U), the PXRD pattern of TaMnF3 was computed for copper Kα.

The 9 most intense peaks (5 to 70 degrees two-theta), most intense first:
two_theta, d_spacing, I_rel
29.2, 3.063, 100
20.5, 4.332, 51
51.7, 1.768, 41
41.7, 2.166, 35
46.9, 1.937, 24
60.4, 1.531, 22
68.5, 1.370, 18
64.5, 1.444, 12
35.9, 2.501, 3

Cell and atoms:
Cell: 4.3316 4.3316 4.3316 Å, 90.00 90.00 90.00°
Atoms (fractional coordinates):
Ta1 0.0000 0.0000 0.0000
Mn1 0.5000 0.5000 0.5000
F1 0.0000 0.0000 0.5000
F2 0.0000 0.5000 0.0000
F3 0.5000 0.0000 0.0000